Entry 1:
V5Te12Pt: simulated powder diffractogram (λ = 1.5418 Å (Cu Kα)), based on a cell relaxed with GGA-PBE.
Neutral-atom scattering factors, no anomalous dispersion.

Cell and atoms:
Cell lengths 6.420, 11.047, 14.295 Å; angles 90.00, 98.62, 90.00 degrees
Space group C2/m (No. 12)
Symmetry-distinct sites (fractional):
V 0.000 0.000 0.000 x2
V 0.000 0.158 0.500 x4
V 0.000 0.338 0.000 x4
Te 0.126 0.168 0.881 x8
Te 0.129 0.500 0.878 x4
Te 0.204 0.331 0.618 x8
Te 0.215 0.000 0.623 x4
Pt 0.000 0.500 0.500 x2

Most intense lines, 10° ≤ 2θ ≤ 80°, sorted by position:
hkl 0 0 2, d = 7.067 Å, rel. 70.7; hkl 0 0 4, d = 3.533 Å, rel. 48.0; hkl 1 3 -2, d = 2.989 Å, rel. 70.0; hkl 2 0 -3, d = 2.837 Å, rel. 49.8; hkl 1 3 2, d = 2.825 Å, rel. 100.0; hkl 2 0 4, d = 2.199 Å, rel. 46.5; hkl 1 3 -6, d = 1.967 Å, rel. 45.2; hkl 3 3 -1, d = 1.850 Å, rel. 53.6



Entry 2:
TbIn5Hg8: simulated powder diffractogram (λ = 1.5418 Å (Cu Kα)), based on a cell relaxed with GGA-PBE.
Neutral-atom scattering factors, no anomalous dispersion.

Cell and atoms:
Cell lengths 13.926, 8.095, 8.418 Å; angles 90.00, 125.78, 90.00 degrees
Space group C2 (No. 5)
Symmetry-distinct sites (fractional):
Tb 0.000 0.000 0.000 x2
In 0.000 0.366 0.500 x2
In 0.024 0.690 0.299 x4
In 0.167 0.970 0.842 x4
Hg 0.074 0.352 0.925 x4
Hg 0.120 0.070 0.439 x4
Hg 0.191 0.729 0.180 x4
Hg 0.227 0.625 0.722 x4

Most intense lines, 10° ≤ 2θ ≤ 80°, sorted by position:
hkl 4 0 -2, d = 3.336 Å, rel. 59.0; hkl 1 1 2, d = 2.681 Å, rel. 92.5; hkl 3 1 -3, d = 2.650 Å, rel. 87.0; hkl 1 3 0, d = 2.624 Å, rel. 98.9; hkl 4 2 -1, d = 2.608 Å, rel. 100.0; hkl 4 2 -2, d = 2.573 Å, rel. 64.1; hkl 5 1 -1, d = 2.526 Å, rel. 53.7; hkl 1 3 1, d = 2.345 Å, rel. 47.6



Entry 3:
Tm3SbAu: simulated powder diffractogram (λ = 1.5418 Å (Cu Kα)), based on a cell relaxed with GGA-PBE.
Neutral-atom scattering factors, no anomalous dispersion.

Cell and atoms:
Cell lengths 15.425, 5.102, 8.299 Å; angles 90.00, 97.45, 90.00 degrees
Space group C2/m (No. 12)
Symmetry-distinct sites (fractional):
Tm 0.041 0.000 0.220 x4
Tm 0.173 0.000 0.604 x4
Tm 0.174 0.500 0.035 x4
Sb 0.126 0.500 0.401 x4
Au 0.133 0.000 0.930 x4

Most intense lines, 10° ≤ 2θ ≤ 80°, sorted by position:
hkl 0 0 1, d = 8.229 Å, rel. 32.2; hkl 1 1 0, d = 4.840 Å, rel. 45.8; hkl 1 1 1, d = 4.102 Å, rel. 69.7; hkl 4 0 0, d = 3.829 Å, rel. 64.1; hkl 0 2 0, d = 2.551 Å, rel. 88.0; hkl 1 1 -3, d = 2.429 Å, rel. 67.2; hkl 5 1 1, d = 2.423 Å, rel. 100.0; hkl 5 3 1, d = 1.447 Å, rel. 37.8



Entry 4:
YV2Fe10N: simulated powder diffractogram (λ = 1.5418 Å (Cu Kα)), based on a cell relaxed with GGA-PBE.
Neutral-atom scattering factors, no anomalous dispersion.

Cell and atoms:
Cell lengths 4.747, 8.542, 8.575 Å; angles 90.00, 90.00, 90.00 degrees
Space group Immm (No. 71)
Symmetry-distinct sites (fractional):
Y 0.000 0.000 0.000 x2
V 0.000 0.000 0.359 x4
Fe 0.000 0.275 0.500 x4
Fe 0.000 0.361 0.000 x4
Fe 0.000 0.500 0.277 x4
Fe 0.250 0.250 0.250 x8
N 0.000 0.500 0.500 x2

Most intense lines, 10° ≤ 2θ ≤ 80°, sorted by position:
hkl 1 0 3, d = 2.449 Å, rel. 18.7; hkl 2 0 0, d = 2.373 Å, rel. 17.8; hkl 0 0 4, d = 2.144 Å, rel. 41.7; hkl 0 4 0, d = 2.136 Å, rel. 36.4; hkl 1 3 2, d = 2.123 Å, rel. 100.0; hkl 2 0 2, d = 2.076 Å, rel. 85.3; hkl 2 2 2, d = 1.867 Å, rel. 50.0; hkl 3 3 2, d = 1.317 Å, rel. 19.2



Entry 5:
RbCeAg2F8: simulated powder diffractogram (λ = 1.5418 Å (Cu Kα)), based on a cell relaxed with GGA-PBE.
Neutral-atom scattering factors, no anomalous dispersion.

Cell and atoms:
Cell lengths 6.2830, 6.2830, 8.1916 Å; angles 90.00, 90.00, 120.00 degrees
Space group P-3m1 (No. 164)
Symmetry-distinct sites (fractional):
Rb 0.0000 0.0000 0.0000 x1
Ce 0.0000 0.0000 0.5000 x1
Ag 0.3333 0.6667 0.1861 x2
F 0.1530 0.3059 0.3289 x6
F 0.3333 0.6667 0.9348 x2

Most intense lines, 10° ≤ 2θ ≤ 80°, sorted by position:
hkl 1 0 0, d = 5.441 Å, rel. 22.5; hkl 1 0 1, d = 4.532 Å, rel. 100.0; hkl 0 1 2, d = 3.272 Å, rel. 68.0; hkl 1 1 0, d = 3.141 Å, rel. 76.8; hkl 2 0 2, d = 2.266 Å, rel. 42.4; hkl 1 1 3, d = 2.060 Å, rel. 20.1; hkl 2 1 1, d = 1.995 Å, rel. 21.9; hkl 1 2 2, d = 1.838 Å, rel. 28.9



Entry 6:
Cs2H2Br: simulated powder diffractogram (λ = 1.5418 Å (Cu Kα)), based on a cell relaxed with GGA-PBE.
Neutral-atom scattering factors, no anomalous dispersion.

Cell and atoms:
Cell lengths 9.801, 9.801, 5.903 Å; angles 90.00, 90.00, 90.00 degrees
Space group P4/mbm (No. 127)
Symmetry-distinct sites (fractional):
Cs 0.205 0.295 0.000 x4
H 0.027 0.527 0.500 x4
Br 0.000 0.000 0.000 x2

Most intense lines, 10° ≤ 2θ ≤ 80°, sorted by position:
hkl 0 0 1, d = 5.903 Å, rel. 100.0; hkl 2 1 0, d = 4.383 Å, rel. 30.9; hkl 2 0 1, d = 3.771 Å, rel. 23.9; hkl 2 1 1, d = 3.519 Å, rel. 36.3; hkl 2 2 0, d = 3.465 Å, rel. 36.2; hkl 2 2 1, d = 2.988 Å, rel. 46.7; hkl 2 2 2, d = 2.247 Å, rel. 21.5; hkl 4 1 1, d = 2.205 Å, rel. 28.1



Entry 7:
Nd2Dy5Sc: simulated powder diffractogram (λ = 1.5418 Å (Cu Kα)), based on a cell relaxed with GGA-PBE.
Neutral-atom scattering factors, no anomalous dispersion.

Cell and atoms:
Cell lengths 5.030, 6.128, 9.367 Å; angles 77.55, 74.43, 65.86 degrees
Space group P-1 (No. 2)
Symmetry-distinct sites (fractional):
Nd 0.001 0.245 0.253 x2
Dy 0.250 0.622 0.378 x2
Dy 0.252 0.126 0.871 x2
Dy 0.500 0.500 0.000 x1
Sc 0.500 0.000 0.500 x1

Most intense lines, 10° ≤ 2θ ≤ 80°, sorted by position:
hkl 1 2 0, d = 2.894 Å, rel. 100.0; hkl 2 1 1, d = 2.515 Å, rel. 17.0; hkl 0 1 -3, d = 2.507 Å, rel. 16.8; hkl 0 2 2, d = 2.498 Å, rel. 16.7; hkl -2 1 1, d = 1.775 Å, rel. 17.9; hkl 2 3 3, d = 1.770 Å, rel. 17.8; hkl 3 3 1, d = 1.515 Å, rel. 14.2; hkl 1 0 6, d = 1.512 Å, rel. 14.0



Entry 8:
La6Er4Tm: simulated powder diffractogram (λ = 1.5418 Å (Cu Kα)), based on a cell relaxed with GGA-PBE.
Neutral-atom scattering factors, no anomalous dispersion.

Cell and atoms:
Cell lengths 5.878, 9.852, 26.220 Å; angles 90.00, 90.00, 90.00 degrees
Space group Cmcm (No. 63)
Symmetry-distinct sites (fractional):
La 0.000 0.000 0.000 x4
La 0.000 0.035 0.250 x4
La 0.000 0.312 0.599 x8
La 0.000 0.362 0.182 x8
Er 0.000 0.028 0.125 x8
Er 0.000 0.343 0.046 x8
Tm 0.000 0.303 0.750 x4

Most intense lines, 10° ≤ 2θ ≤ 80°, sorted by position:
hkl 1 1 7, d = 3.008 Å, rel. 62.9; hkl 0 2 7, d = 2.982 Å, rel. 47.1; hkl 2 0 0, d = 2.939 Å, rel. 66.2; hkl 1 3 0, d = 2.867 Å, rel. 100.0; hkl 1 3 1, d = 2.850 Å, rel. 22.6; hkl 1 1 8, d = 2.749 Å, rel. 53.0; hkl 2 2 7, d = 2.093 Å, rel. 34.7; hkl 3 3 0, d = 1.683 Å, rel. 20.7



Entry 9:
K2PrZnF8: simulated powder diffractogram (λ = 1.5418 Å (Cu Kα)), based on a cell relaxed with GGA-PBE.
Neutral-atom scattering factors, no anomalous dispersion.

Cell and atoms:
Cell lengths 4.092, 6.226, 7.798 Å; angles 84.22, 88.67, 86.22 degrees
Space group P-1 (No. 2)
Symmetry-distinct sites (fractional):
K 0.012 0.023 0.236 x2
Pr 0.500 0.500 0.500 x1
Zn 0.500 0.500 0.000 x1
F 0.005 0.288 0.484 x2
F 0.109 0.679 0.038 x2
F 0.459 0.240 0.739 x2
F 0.473 0.330 0.225 x2

Most intense lines, 10° ≤ 2θ ≤ 80°, sorted by position:
hkl 0 1 0, d = 6.182 Å, rel. 100.0; hkl 1 1 0, d = 3.512 Å, rel. 75.5; hkl 0 1 2, d = 3.443 Å, rel. 73.5; hkl 1 -1 0, d = 3.311 Å, rel. 60.7; hkl 0 1 -2, d = 3.148 Å, rel. 63.2; hkl 1 2 2, d = 2.223 Å, rel. 46.2; hkl -1 2 2, d = 2.100 Å, rel. 34.8; hkl 2 0 0, d = 2.042 Å, rel. 60.5



Entry 10:
USi2RuRh: simulated powder diffractogram (λ = 1.5418 Å (Cu Kα)), based on a cell relaxed with GGA-PBE.
Neutral-atom scattering factors, no anomalous dispersion.

Cell and atoms:
Cell lengths 4.089, 4.089, 9.833 Å; angles 90.00, 90.00, 90.00 degrees
Space group I-4m2 (No. 119)
Symmetry-distinct sites (fractional):
U 0.000 0.000 0.000 x2
Si 0.000 0.000 0.378 x4
Ru 0.000 0.500 0.250 x2
Rh 0.000 0.500 0.750 x2

Most intense lines, 10° ≤ 2θ ≤ 80°, sorted by position:
hkl 1 0 1, d = 3.776 Å, rel. 50.5; hkl 1 0 3, d = 2.557 Å, rel. 39.3; hkl 1 1 2, d = 2.492 Å, rel. 100.0; hkl 0 0 4, d = 2.458 Å, rel. 18.0; hkl 2 0 0, d = 2.045 Å, rel. 35.3; hkl 2 1 3, d = 1.597 Å, rel. 19.2; hkl 2 0 4, d = 1.572 Å, rel. 18.5; hkl 3 1 2, d = 1.251 Å, rel. 23.3



Entry 11:
Zr3Ni20P6: simulated powder diffractogram (λ = 1.5418 Å (Cu Kα)), based on a cell relaxed with GGA-PBE.
Neutral-atom scattering factors, no anomalous dispersion.

Cell and atoms:
Cell lengths 11.205, 11.205, 11.205 Å; angles 90.00, 90.00, 90.00 degrees
Space group Fm-3m (No. 225)
Symmetry-distinct sites (fractional):
Zr 0.000 0.000 0.000 x4
Zr 0.250 0.250 0.250 x8
Ni 0.000 0.175 0.175 x48
Ni 0.115 0.115 0.385 x32
P 0.000 0.000 0.261 x24

Most intense lines, 10° ≤ 2θ ≤ 80°, sorted by position:
hkl 4 2 0, d = 2.505 Å, rel. 20.4; hkl 4 2 2, d = 2.287 Å, rel. 29.7; hkl 3 3 3, d = 2.156 Å, rel. 100.0; hkl 4 4 0, d = 1.981 Å, rel. 40.2; hkl 5 3 1, d = 1.894 Å, rel. 23.0; hkl 6 2 2, d = 1.689 Å, rel. 15.8; hkl 6 6 0, d = 1.321 Å, rel. 25.3; hkl 5 5 5, d = 1.294 Å, rel. 12.2



Entry 12:
SmPIO4: simulated powder diffractogram (λ = 1.5418 Å (Cu Kα)), based on a cell relaxed with GGA-PBE.
Neutral-atom scattering factors, no anomalous dispersion.

Cell and atoms:
Cell lengths 11.536, 6.356, 6.682 Å; angles 90.00, 99.99, 90.00 degrees
Space group C2/m (No. 12)
Symmetry-distinct sites (fractional):
Sm 0.198 0.000 0.316 x4
P 0.135 0.000 0.753 x4
I 0.035 0.500 0.201 x4
O 0.001 0.000 0.731 x4
O 0.179 0.193 0.636 x8
O 0.194 0.000 0.977 x4

Most intense lines, 10° ≤ 2θ ≤ 80°, sorted by position:
hkl 2 0 -1, d = 4.725 Å, rel. 46.8; hkl 1 1 1, d = 4.075 Å, rel. 39.4; hkl 0 0 2, d = 3.291 Å, rel. 43.8; hkl 3 1 0, d = 3.253 Å, rel. 100.0; hkl 0 2 0, d = 3.178 Å, rel. 69.1; hkl 3 1 -1, d = 3.106 Å, rel. 30.6; hkl 3 1 1, d = 2.758 Å, rel. 28.6; hkl 0 2 2, d = 2.286 Å, rel. 29.5